Calculated powder diffractogram of ZnS for Cu Kα X-rays, from a GGA-PBE-relaxed structure.

Peak list (6 most intense, 15 to 90 degrees two-theta, in order of rising 2θ)
Position (°2θ), d/Å, I (rel.)
26.9, 3.314, 96
28.3, 3.150, 82
29.6, 3.019, 96
47.2, 1.926, 100
50.0, 1.825, 56
56.0, 1.643, 67

Crystal structure
Cell: 9.708 9.708 9.708 Å, 22.89 22.89 22.89°
Atoms (fractional coordinates):
1 Zn 0.000 0.000 0.000
2 Zn 0.222 0.222 0.222
3 Zn 0.444 0.444 0.444
4 S 0.083 0.083 0.083
5 S 0.306 0.306 0.306
6 S 0.528 0.528 0.528